# 1
Diffraction record for Y19Er4Tm6. The PXRD pattern is calculated, not measured: it uses a DFT-relaxed cell (GGA-PBE, Alexandria) and Cu Ka.

Cell and atoms:
a b c (Å): 10.781 10.781 10.781
angles (deg): 109.47 109.47 109.47
Element x y z (fractional)
1 Y 0.000 0.000 0.000
2 Y 0.000 0.263 0.263
3 Y 0.000 0.737 0.737
4 Y 0.012 0.216 0.671
5 Y 0.204 0.988 0.659
6 Y 0.216 0.671 0.012
7 Y 0.263 0.000 0.263
8 Y 0.263 0.263 0.000
9 Y 0.329 0.544 0.341
10 Y 0.341 0.329 0.544
11 Y 0.456 0.784 0.796
12 Y 0.544 0.341 0.329
13 Y 0.659 0.204 0.988
14 Y 0.671 0.012 0.216
15 Y 0.737 0.000 0.737
16 Y 0.737 0.737 0.000
17 Y 0.784 0.796 0.456
18 Y 0.796 0.456 0.784
19 Y 0.988 0.659 0.204
20 Er 0.000 0.000 0.356
21 Er 0.000 0.356 0.000
22 Er 0.356 0.000 0.000
23 Er 0.644 0.644 0.644
24 Tm 0.125 0.500 0.625
25 Tm 0.375 0.875 0.500
26 Tm 0.500 0.375 0.875
27 Tm 0.500 0.625 0.125
28 Tm 0.625 0.125 0.500
29 Tm 0.875 0.500 0.375

Principal peaks in the range 2θ from 10° to 90°, sorted by position:
d_spacing  2θ (°)  I_rel
3.937  22.6  31
3.327  26.8  53
3.112  28.7  37
2.934  30.5  100
2.541  35.3  40
2.441  36.8  81
2.273  39.7  20
2.135  42.3  27
1.694  54.1  24
1.532  60.4  27
1.510  61.4  26
1.312  72.0  21

***

# 2
Diffraction record for Y8Er2Tm3. The PXRD pattern is calculated, not measured: it uses a DFT-relaxed cell (GGA-PBE, Alexandria) and Cu Ka.

Cell and atoms:
a b c (Å): 10.755 10.755 5.610
angles (deg): 90.02 90.02 41.32
Element x y z (fractional)
1 Y 0.105 0.681 0.000
2 Y 0.169 0.169 0.501
3 Y 0.319 0.895 0.000
4 Y 0.367 0.367 0.500
5 Y 0.633 0.633 0.500
6 Y 0.681 0.105 0.000
7 Y 0.831 0.831 0.499
8 Y 0.895 0.319 0.000
9 Er 0.259 0.259 0.001
10 Er 0.741 0.741 0.999
11 Tm 0.218 0.782 0.500
12 Tm 0.500 0.500 0.000
13 Tm 0.782 0.218 0.500

Principal peaks in the range 2θ from 10° to 90°, sorted by position:
d_spacing  2θ (°)  I_rel
4.900  18.1  11
3.551  25.1  26
3.003  29.7  31
2.879  31.1  30
2.805  31.9  39
2.666  33.6  100
2.514  35.7  22
2.201  41.0  14
1.872  48.6  19
1.591  58.0  21
1.572  58.7  10
1.439  64.8  10

***

# 3
Diffraction record for Y4Er8Tm. The PXRD pattern is calculated, not measured: it uses a DFT-relaxed cell (GGA-PBE, Alexandria) and Cu Ka.

Cell and atoms:
a b c (Å): 9.925 9.925 9.925
angles (deg): 42.93 42.93 42.93
Element x y z (fractional)
1 Y 0.000 0.000 0.000
2 Y 0.000 0.500 0.500
3 Y 0.500 0.000 0.500
4 Y 0.500 0.500 0.000
5 Er 0.195 0.750 0.750
6 Er 0.216 0.216 0.216
7 Er 0.250 0.250 0.805
8 Er 0.250 0.805 0.250
9 Er 0.750 0.195 0.750
10 Er 0.750 0.750 0.195
11 Er 0.784 0.784 0.784
12 Er 0.805 0.250 0.250
13 Tm 0.500 0.500 0.500

Principal peaks in the range 2θ from 10° to 90°, sorted by position:
d_spacing  2θ (°)  I_rel
3.063  29.2  22
2.998  29.8  28
2.851  31.4  100
2.718  33.0  35
2.480  36.2  11
2.437  36.9  17
2.301  39.2  24
1.934  47.0  12
1.816  50.2  31
1.733  52.8  14
1.553  59.5  19
1.532  60.4  16